Simulated powder XRD pattern of Ba4Nb2TcO12 for Cu Kα X-rays, from DFT lattice parameters and positions (PBE).
Neutral-atom scattering factors, no anomalous dispersion.

Largest 10 diffraction maxima, by angle, 10° ≤ 2θ ≤ 90°:
- 3.135 Å, 2θ 28.5, intensity 100, hkl 1 0 7
- 2.896 Å, 2θ 30.9, intensity 84, hkl 1 1 0
- 2.127 Å, 2θ 42.5, intensity 53, hkl 0 2 7
- 1.864 Å, 2θ 48.9, intensity 19, hkl 0 1 14
- 1.715 Å, 2θ 53.4, intensity 34, hkl 2 1 7
- 1.672 Å, 2θ 54.9, intensity 17, hkl 3 0 0
- 1.568 Å, 2θ 58.9, intensity 13, hkl 2 0 14
- 1.448 Å, 2θ 64.3, intensity 17, hkl 2 2 0
- 1.379 Å, 2θ 68.0, intensity 14, hkl 1 2 14
- 1.315 Å, 2θ 71.8, intensity 15, hkl 1 3 7

Cell and atoms:
a = 5.7930 Å, b = 5.7930 Å, c = 28.1090 Å
α = 90.00°, β = 90.00°, γ = 120.00°
Space group R3m (No. 160, hexagonal axes)
One atom of each set of equivalent atoms:
Ba  0.0000  0.0000  0.0000
Ba  0.0000  0.0000  0.1547
Ba  0.0000  0.0000  0.4225
Ba  0.0000  0.0000  0.5794
Nb  0.0000  0.0000  0.2892
Nb  0.0000  0.0000  0.7136
Tc  0.0000  0.0000  0.8678
O  0.0016  0.5008  0.4108
O  0.0022  0.5011  0.5798
O  0.0041  0.5020  0.9948
O  0.1750  0.3499  0.5020